The following is a simulated powder X-ray diffraction pattern of PaCu2F8. It was derived from the PBE geometry in OQMD, using Cu Kα, 1.54184 Å.

Cell and atoms:
a = 6.3794 Å, b = 6.3794 Å, c = 6.3794 Å
α = 134.76°, β = 134.76°, γ = 65.91°
Fractional coordinates of all 11 atoms:
Pa 0.0000 0.0000 0.0000
Cu 0.3154 0.3154 0.0000
Cu 0.6846 0.6846 0.0000
F 0.0085 0.3954 0.0600
F 0.0515 0.9915 0.3869
F 0.1627 0.5940 0.8896
F 0.3354 0.9485 0.9400
F 0.4060 0.2956 0.5687
F 0.6046 0.6646 0.6131
F 0.7044 0.2731 0.1104
F 0.7269 0.8373 0.4313

Peak list (12 most intense, 2θ from 10° to 90°, sorted by position)
- 2θ 16.56, d 5.353, intensity 20
- 2θ 19.90, d 4.461, intensity 75
- 2θ 25.67, d 3.470, intensity 100
- 2θ 30.98, d 2.886, intensity 98
- 2θ 36.62, d 2.454, intensity 19
- 2θ 42.03, d 2.150, intensity 30
- 2θ 42.66, d 2.119, intensity 24
- 2θ 48.71, d 1.869, intensity 78
- 2θ 52.76, d 1.735, intensity 19
- 2θ 58.13, d 1.587, intensity 18
- 2θ 59.57, d 1.552, intensity 19
- 2θ 62.45, d 1.487, intensity 21